# 1
# Pr2NdCu4Pb4
Simulated powder XRD pattern, a wavelength of 1.5418 Å. Input: a DFT-relaxed cell (PBE, OQMD).
No peak broadening, texture or thermal motion is included.

a b c (Å): 4.6832 7.1059 15.3272
angles (deg): 90.00 90.00 90.00
Space group Immm (No. 71)
Symmetry-distinct sites (fractional):
Pr  0.0000  0.0000  0.1335 x4
Nd  0.0000  0.5000  0.0000 x2
Cu  0.0000  0.1822  0.3318 x8
Pb  0.0000  0.2927  0.5000 x4
Pb  0.0000  0.5000  0.2164 x4

Peak list (10 most intense, 10 to 90 degrees two-theta, in order of rising 2θ)
two_theta	intensity
25.81	24
27.67	26
31.79	25
32.16	100
32.72	94
38.44	50
43.52	39
44.46	23
65.97	22
73.95	20

***

# 2
# Hf8FeTe6
Simulated powder XRD pattern, a wavelength of 1.5418 Å. Input: a DFT-relaxed cell (PBE, OQMD).
No peak broadening, texture or thermal motion is included.

a b c (Å): 3.7356 26.0124 7.6704
angles (deg): 90.00 90.00 90.00
Space group Pmmn (No. 59, origin choice 2)
Symmetry-distinct sites (fractional):
Hf  0.2500  0.0517  0.0587 x4
Hf  0.2500  0.1844  0.2592 x4
Hf  0.2500  0.2500  0.9256 x2
Hf  0.2500  0.6509  0.0579 x4
Hf  0.2500  0.7500  0.4590 x2
Fe  0.2500  0.7500  0.8044 x2
Te  0.2500  0.1679  0.6483 x4
Te  0.2500  0.5476  0.2230 x4
Te  0.2500  0.5948  0.7004 x4

Peak list (10 most intense, 10 to 90 degrees two-theta, in order of rising 2θ)
two_theta	intensity
11.54	49
13.40	20
31.71	100
33.12	20
34.03	21
35.10	32
35.27	26
36.27	31
37.81	64
48.76	34

***

# 3
# Ta5Tl2Ag2
Simulated powder XRD pattern, a wavelength of 1.5418 Å. Input: a DFT-relaxed cell (PBE, OQMD).
No peak broadening, texture or thermal motion is included.

a b c (Å): 4.2763 4.2763 46.4241
angles (deg): 90.00 90.00 120.00
Space group R3m (No. 160, hexagonal axes)
Symmetry-distinct sites (fractional):
Ta  0.0000  0.0000  0.0000 x3
Ta  0.0000  0.0000  0.1164 x3
Ta  0.0000  0.0000  0.5806 x3
Ta  0.0000  0.0000  0.7524 x3
Ta  0.0000  0.0000  0.8782 x3
Tl  0.0000  0.0000  0.6408 x3
Tl  0.0000  0.0000  0.8177 x3
Ag  0.0000  0.0000  0.0560 x3
Ag  0.0000  0.0000  0.2266 x3

Peak list (10 most intense, 10 to 90 degrees two-theta, in order of rising 2θ)
two_theta	intensity
17.19	28
24.11	64
25.24	27
25.90	26
28.59	30
39.45	36
41.07	93
42.27	100
60.40	30
76.47	30

***

# 4
# Nd3Ni2Pt7
Simulated powder XRD pattern, a wavelength of 1.5418 Å. Input: a DFT-relaxed cell (PBE, OQMD).
No peak broadening, texture or thermal motion is included.

a b c (Å): 5.4408 5.4408 25.9034
angles (deg): 90.00 90.00 120.00
Space group R-3m (No. 166, hexagonal axes)
Symmetry-distinct sites (fractional):
Nd  0.0000  0.0000  0.0000 x3
Nd  0.0000  0.0000  0.1390 x6
Ni  0.0000  0.0000  0.3330 x6
Pt  0.0000  0.0000  0.5000 x3
Pt  0.0029  0.5014  0.9202 x18

Peak list (10 most intense, 10 to 90 degrees two-theta, in order of rising 2θ)
two_theta	intensity
30.72	27
33.58	43
38.36	63
38.85	36
39.14	100
41.85	29
42.14	54
45.65	27
62.97	25
69.05	35

***

# 5
# La2NdCu2Si4Pt2
Simulated powder XRD pattern, a wavelength of 1.5418 Å. Input: a DFT-relaxed cell (PBE, OQMD).
No peak broadening, texture or thermal motion is included.

a b c (Å): 4.1752 4.2465 24.4476
angles (deg): 90.00 90.00 90.00
Space group Immm (No. 71)
Symmetry-distinct sites (fractional):
La  0.0000  0.0000  0.1455 x4
Nd  0.0000  0.5000  0.5000 x2
Cu  0.0000  0.0000  0.4039 x4
Si  0.0000  0.0000  0.3052 x4
Si  0.0000  0.5000  0.0492 x4
Pt  0.0000  0.5000  0.2514 x4

Peak list (10 most intense, 10 to 90 degrees two-theta, in order of rising 2θ)
two_theta	intensity
14.49	11
23.95	10
29.22	15
33.21	18
33.48	100
37.41	11
42.58	18
43.33	19
62.38	11
69.10	11

***

# 6
# Li4ZnInPt2
Simulated powder XRD pattern, a wavelength of 1.5418 Å. Input: a DFT-relaxed cell (PBE, OQMD).
No peak broadening, texture or thermal motion is included.

a b c (Å): 4.3513 4.3513 6.2932
angles (deg): 90.00 90.00 90.00
Space group P-4m2 (No. 115)
Symmetry-distinct sites (fractional):
Li  0.0000  0.0000  0.0000 x1
Li  0.0000  0.5000  0.7243 x2
Li  0.5000  0.5000  0.5000 x1
Zn  0.0000  0.0000  0.5000 x1
In  0.5000  0.5000  0.0000 x1
Pt  0.0000  0.5000  0.2653 x2

Peak list (10 most intense, 10 to 90 degrees two-theta, in order of rising 2θ)
two_theta	intensity
24.88	100
41.03	54
41.51	27
48.16	16
49.00	33
60.15	9
65.42	13
74.41	9
75.39	18
81.15	8